# FeCo5S8
Computed PXRD pattern, Cu Ka. Input: a cell relaxed with PBE.

Largest 10 diffraction maxima, sorted by position, 2θ = 10–90°:
| 2θ (°) | d/Å | I/Imax | index |
| --- | --- | --- | --- |
| 16.47 | 5.383 | 15 | 1 1 1 |
| 27.05 | 3.296 | 29 | 2 2 0 |
| 31.83 | 2.811 | 100 | 3 1 1 |
| 38.63 | 2.331 | 51 | 4 0 0 |
| 47.79 | 1.903 | 10 | 4 2 2 |
| 50.89 | 1.794 | 43 | 5 1 1 |
| 55.77 | 1.648 | 84 | 4 4 0 |
| 65.66 | 1.422 | 11 | 5 3 3 |
| 78.85 | 1.214 | 16 | 5 5 3 |
| 82.82 | 1.165 | 12 | 8 0 0 |

Atomic structure:
Lattice parameters (Å, degrees): 9.324 9.324 9.324 90.00 90.00 90.00
Space group F-43m (No. 216)
Symmetry-distinct sites (fractional):
Fe: 0.000 0.000 0.000 (multiplicity 4)
Co: 0.124 0.124 0.376 (multiplicity 16)
Co: 0.250 0.250 0.750 (multiplicity 4)
S: 0.118 0.118 0.618 (multiplicity 16)
S: 0.133 0.133 0.133 (multiplicity 16)